(1)
For HfTe3Se8, a structure optimized by DFT (GGA-PBE) gives the calculated powder diffraction line list in this record (CuKα).

Crystal structure
```
data_HfTe3Se8
_space_group_name_H-M_alt 'P -1'
_space_group_IT_number 2
_cell_length_a 7.230
_cell_length_b 7.876
_cell_length_c 14.438
_cell_angle_alpha 104.71
_cell_angle_beta 99.88
_cell_angle_gamma 95.64
loop_
_space_group_symop_operation_xyz
'x,y,z'
'-x,-y,-z'
loop_
_atom_site_label
_atom_site_fract_x
_atom_site_fract_y
_atom_site_fract_z
_atom_site_occupancy
Hf1 0.097 0.229 0.004 1
Te1 0.002 0.823 0.579 1
Te2 0.084 0.653 0.232 1
Te3 0.493 0.956 0.799 1
Se1 0.143 0.215 0.597 1
Se2 0.168 0.912 0.928 1
Se3 0.214 0.613 0.072 1
Se4 0.240 0.299 0.850 1
Se5 0.240 0.462 0.412 1
Se6 0.319 0.670 0.566 1
Se7 0.333 0.958 0.326 1
Se8 0.372 0.316 0.160 1
```

Principal peaks in the range 10° ≤ 2θ ≤ 80°, in order of falling intensity:
Position (°2θ)  d (Å)  intensity
19.83  4.478  100
12.57  7.043  93
17.55  5.055  89
16.12  5.498  69
28.51  3.131  68
25.81  3.452  68
26.26  3.393  59
40.28  2.239  56
34.21  2.621  55
30.09  2.970  55
20.98  4.234  55
36.14  2.485  54



(2)
For Pr2HoTl2, a structure optimized by DFT (GGA-PBE) gives the calculated powder diffraction line list in this record (CuKα).

Crystal structure
```
data_Pr2HoTl2
_space_group_name_H-M_alt 'C m c 21'
_space_group_IT_number 36
_cell_length_a 5.128
_cell_length_b 17.864
_cell_length_c 6.701
_cell_angle_alpha 90.00
_cell_angle_beta 90.00
_cell_angle_gamma 90.00
loop_
_space_group_symop_operation_xyz
'x,y,z'
'-x,-y,z+1/2'
'-x,y,z'
'x,-y,z+1/2'
'x+1/2,y+1/2,z'
'-x+1/2,-y+1/2,z+1/2'
'-x+1/2,y+1/2,z'
'x+1/2,-y+1/2,z+1/2'
loop_
_atom_site_label
_atom_site_fract_x
_atom_site_fract_y
_atom_site_fract_z
_atom_site_occupancy
Pr1 0.000 0.008 0.000 1
Pr2 0.000 0.201 0.457 1
Ho1 0.000 0.391 0.238 1
Tl1 0.000 0.193 0.965 1
Tl2 0.000 0.409 0.749 1
```

Principal peaks in the range 10° ≤ 2θ ≤ 80°, in order of falling intensity:
Position (°2θ)  d (Å)  intensity
30.49  2.931  100
32.31  2.771  74
35.00  2.564  37
33.43  2.681  30
40.53  2.226  21
64.01  1.454  21
49.18  1.853  19
54.60  1.681  18
59.99  1.542  15
35.37  2.538  14
51.14  1.786  12
61.08  1.517  12



(3)
For KHf2Bi2O7, a structure optimized by DFT (GGA-PBE) gives the calculated powder diffraction line list in this record (CuKα).

Crystal structure
```
data_KHf2Bi2O7
_space_group_name_H-M_alt 'I m m 2'
_space_group_IT_number 44
_cell_length_a 3.531
_cell_length_b 19.376
_cell_length_c 6.015
_cell_angle_alpha 90.00
_cell_angle_beta 90.00
_cell_angle_gamma 90.00
loop_
_space_group_symop_operation_xyz
'x,y,z'
'-x,-y,z'
'-x,y,z'
'x,-y,z'
'x+1/2,y+1/2,z+1/2'
'-x+1/2,-y+1/2,z+1/2'
'-x+1/2,y+1/2,z+1/2'
'x+1/2,-y+1/2,z+1/2'
loop_
_atom_site_label
_atom_site_fract_x
_atom_site_fract_y
_atom_site_fract_z
_atom_site_occupancy
K1 0.000 0.000 0.000 1
Hf1 0.000 0.400 0.037 1
Bi1 0.000 0.304 0.581 1
O1 0.000 0.120 0.683 1
O2 0.000 0.286 0.936 1
O3 0.000 0.411 0.711 1
O4 0.000 0.500 0.116 1
```

Principal peaks in the range 10° ≤ 2θ ≤ 80°, in order of falling intensity:
Position (°2θ)  d (Å)  intensity
27.38  3.258  100
30.78  2.905  53
29.70  3.008  42
28.81  3.098  37
25.64  3.474  35
41.86  2.158  24
59.56  1.552  24
51.80  1.765  22
47.99  1.896  20
40.73  2.216  19
39.64  2.274  19
51.30  1.781  17



(4)
For La4Au2I5, a structure optimized by DFT (GGA-PBE) gives the calculated powder diffraction line list in this record (CuKα).

Crystal structure
```
data_La4Au2I5
_space_group_name_H-M_alt 'C 1 2/m 1'
_space_group_IT_number 12
_cell_length_a 25.569
_cell_length_b 4.159
_cell_length_c 8.947
_cell_angle_alpha 90.00
_cell_angle_beta 90.86
_cell_angle_gamma 90.00
loop_
_space_group_symop_operation_xyz
'x,y,z'
'-x,-y,-z'
'-x,y,-z'
'x,-y,z'
'x+1/2,y+1/2,z'
'-x+1/2,-y+1/2,-z'
'-x+1/2,y+1/2,-z'
'x+1/2,-y+1/2,z'
loop_
_atom_site_label
_atom_site_fract_x
_atom_site_fract_y
_atom_site_fract_z
_atom_site_occupancy
La1 0.017 0.000 0.297 1
La2 0.165 0.500 0.453 1
Au1 0.055 0.500 0.529 1
I1 0.000 0.500 0.000 1
I2 0.142 0.000 0.180 1
I3 0.215 0.000 0.697 1
```

Principal peaks in the range 10° ≤ 2θ ≤ 80°, in order of falling intensity:
Position (°2θ)  d (Å)  intensity
29.55  3.022  100
39.85  2.262  31
25.90  3.440  26
34.11  2.629  22
20.89  4.253  19
33.35  2.687  19
23.85  3.730  16
43.53  2.079  15
38.37  2.346  14
41.04  2.199  12
53.48  1.713  10
66.09  1.414  10